(1)
For RbMg2Fe2Sb3, a crystal structure in OQMD, relaxed with GGA-PBE gives the theoretical PXRD pattern in this record (Cu Ka).
Lines closer than 0.1° are merged.

Top 10 peaks for 15 to 90 degrees two-theta, by angle:
Position (°2θ), d/Å, I/Imax
21.76, 4.084, 14
25.71, 3.465, 100
28.84, 3.095, 17
31.26, 2.861, 10
37.55, 2.395, 35
41.24, 2.189, 32
43.27, 2.091, 23
45.01, 2.014, 11
49.24, 1.851, 33
59.75, 1.548, 10

Structural model:
Lattice parameters (Å, degrees): 4.3776 4.3776 11.3424 90.00 90.00 90.00
Positions (direct):
Rb  0.0000  0.0000  0.0000
Mg  0.0000  0.5000  0.3469
Mg  0.5000  0.0000  0.6531
Fe  0.0000  0.5000  0.6586
Fe  0.5000  0.0000  0.3414
Sb  0.0000  0.0000  0.5000
Sb  0.5000  0.5000  0.1998
Sb  0.5000  0.5000  0.8002


(2)
For TmLuSi4Ni2, a crystal structure in OQMD, relaxed with GGA-PBE gives the theoretical PXRD pattern in this record (Cu Ka).
Lines closer than 0.1° are merged.

Top 10 peaks for 15 to 90 degrees two-theta, by angle:
Position (°2θ), d/Å, I/Imax
21.62, 4.110, 37
25.16, 3.540, 33
31.53, 2.837, 28
32.82, 2.729, 71
35.70, 2.515, 71
36.37, 2.470, 100
40.15, 2.246, 31
46.30, 1.961, 29
46.51, 1.952, 28
59.80, 1.546, 32

Structural model:
Lattice parameters (Å, degrees): 3.9219 8.4482 8.4482 26.72 90.00 90.00
Positions (direct):
Tm  0.0000  0.0000  0.0000
Lu  0.5000  0.2104  0.2104
Si  0.0000  0.3551  0.3551
Si  0.0000  0.6446  0.6446
Si  0.5000  0.5658  0.5658
Si  0.5000  0.8545  0.8545
Ni  0.0000  0.7804  0.7804
Ni  0.5000  0.4294  0.4294


(3)
For CoTe, a crystal structure in OQMD, relaxed with GGA-PBE gives the theoretical PXRD pattern in this record (Cu Ka).
Lines closer than 0.1° are merged.

Top 10 peaks for 15 to 90 degrees two-theta, by angle:
Position (°2θ), d/Å, I/Imax
29.74, 3.004, 100
32.11, 2.788, 72
36.57, 2.457, 68
44.33, 2.043, 61
46.16, 1.966, 20
47.82, 1.902, 19
51.13, 1.786, 41
52.57, 1.741, 24
52.79, 1.734, 33
61.77, 1.502, 22

Structural model:
Lattice parameters (Å, degrees): 6.1229 6.1229 6.1229 116.36 116.36 116.36
Positions (direct):
Co  0.0799  0.0799  0.8402
Co  0.0799  0.8402  0.0799
Co  0.8402  0.0799  0.0799
Te  0.3640  0.3640  0.7103
Te  0.3640  0.7103  0.3640
Te  0.7103  0.3640  0.3640


(4)
For Sr2NbIrN4O2, a crystal structure in OQMD, relaxed with GGA-PBE gives the theoretical PXRD pattern in this record (Cu Ka).
Lines closer than 0.1° are merged.

Top 10 peaks for 15 to 90 degrees two-theta, by angle:
Position (°2θ), d/Å, I/Imax
19.19, 4.625, 21
31.52, 2.838, 100
31.62, 2.830, 68
31.74, 2.819, 34
45.00, 2.014, 19
45.30, 2.002, 19
45.54, 1.992, 19
56.04, 1.641, 13
56.13, 1.639, 20
56.30, 1.634, 20

Structural model:
Lattice parameters (Å, degrees): 5.6387 5.6576 8.0578 90.09 90.01 90.28
Positions (direct):
Sr  0.0000  0.0000  0.0000
Sr  0.0069  0.0041  0.5041
Sr  0.4879  0.4900  0.9985
Sr  0.4960  0.4834  0.4999
Nb  0.5072  0.9844  0.7443
Nb  0.9946  0.4956  0.2520
Ir  0.4953  0.9922  0.2432
Ir  0.9863  0.5043  0.7684
N  0.2493  0.2358  0.2387
N  0.2518  0.7176  0.7360
N  0.2521  0.7494  0.2637
N  0.7362  0.2398  0.2366
N  0.7383  0.7547  0.2636
N  0.7410  0.2604  0.7624
N  0.7592  0.7517  0.7397
N  0.9915  0.5168  0.0009
O  0.2288  0.2238  0.7717
O  0.4870  0.0320  0.4975
O  0.4920  0.9598  0.0007
O  0.9935  0.4596  0.5072


(5)
For Nd2Sm2CI2Br3, a crystal structure in OQMD, relaxed with GGA-PBE gives the theoretical PXRD pattern in this record (Cu Ka).
Lines closer than 0.1° are merged.

Top 10 peaks for 15 to 90 degrees two-theta, by angle:
Position (°2θ), d/Å, I/Imax
27.63, 3.228, 16
29.00, 3.079, 48
30.09, 2.970, 17
30.99, 2.886, 100
32.28, 2.773, 17
33.14, 2.703, 37
36.28, 2.476, 14
42.95, 2.106, 56
45.69, 1.986, 19
55.03, 1.669, 16

Structural model:
Lattice parameters (Å, degrees): 9.6734 9.6734 8.4024 102.42 102.42 23.69
Positions (direct):
Nd  0.1368  0.1368  0.0735
Nd  0.8632  0.8632  0.9265
Sm  0.4995  0.4995  0.2033
Sm  0.5005  0.5005  0.7967
C  0.0000  0.0000  0.0000
I  0.3295  0.3295  0.1965
I  0.6705  0.6705  0.8035
Br  0.0000  0.0000  0.5000
Br  0.3430  0.3430  0.6573
Br  0.6570  0.6570  0.3427


(6)
For Sm5ThBi6, a crystal structure in OQMD, relaxed with GGA-PBE gives the theoretical PXRD pattern in this record (Cu Ka).
Lines closer than 0.1° are merged.

Top 10 peaks for 15 to 90 degrees two-theta, by angle:
Position (°2θ), d/Å, I/Imax
23.91, 3.721, 3
27.68, 3.223, 100
39.55, 2.279, 79
46.75, 1.943, 2
48.96, 1.861, 29
57.17, 1.611, 14
62.85, 1.479, 1
64.68, 1.441, 38
71.75, 1.316, 28
85.16, 1.139, 9

Structural model:
Lattice parameters (Å, degrees): 7.8919 7.8919 7.8946 99.60 99.60 119.98
Positions (direct):
Sm  0.0000  0.0000  0.0000
Sm  0.1667  0.8333  0.5000
Sm  0.3336  0.6664  0.0000
Sm  0.6664  0.3336  0.0000
Sm  0.8333  0.1667  0.5000
Th  0.5000  0.5000  0.5000
Bi  0.0822  0.4163  0.2489
Bi  0.2492  0.2492  0.7500
Bi  0.4163  0.0822  0.2489
Bi  0.5837  0.9178  0.7511
Bi  0.7508  0.7508  0.2500
Bi  0.9178  0.5837  0.7511


(7)
For RbDy2Ag3Te5, a crystal structure in OQMD, relaxed with GGA-PBE gives the theoretical PXRD pattern in this record (Cu Ka).
Lines closer than 0.1° are merged.

Top 10 peaks for 15 to 90 degrees two-theta, by angle:
Position (°2θ), d/Å, I/Imax
25.57, 3.484, 56
26.03, 3.423, 77
27.37, 3.258, 92
29.13, 3.066, 66
31.19, 2.868, 41
32.23, 2.777, 100
33.92, 2.643, 63
35.34, 2.540, 71
39.56, 2.278, 85
43.12, 2.098, 73

Structural model:
Lattice parameters (Å, degrees): 8.4243 8.4243 18.3931 90.00 90.00 148.62
Positions (direct):
Rb  0.0570  0.9430  0.7500
Rb  0.9430  0.0570  0.2500
Dy  0.1904  0.8096  0.0942
Dy  0.1904  0.8096  0.4058
Dy  0.8096  0.1904  0.5942
Dy  0.8096  0.1904  0.9058
Ag  0.3356  0.6644  0.7500
Ag  0.4146  0.5854  0.0313
Ag  0.4146  0.5854  0.4687
Ag  0.5854  0.4146  0.5313
Ag  0.5854  0.4146  0.9687
Ag  0.6644  0.3356  0.2500
Te  0.1771  0.8229  0.5734
Te  0.1771  0.8229  0.9266
Te  0.2621  0.7379  0.2500
Te  0.4381  0.5619  0.6218
Te  0.4381  0.5619  0.8782
Te  0.5619  0.4381  0.1218
Te  0.5619  0.4381  0.3782
Te  0.7379  0.2621  0.7500
Te  0.8229  0.1771  0.0734
Te  0.8229  0.1771  0.4266


(8)
For NdCdNO, a crystal structure in OQMD, relaxed with GGA-PBE gives the theoretical PXRD pattern in this record (Cu Ka).
Lines closer than 0.1° are merged.

Top 10 peaks for 15 to 90 degrees two-theta, by angle:
Position (°2θ), d/Å, I/Imax
27.52, 3.241, 35
28.00, 3.187, 16
28.74, 3.106, 51
31.12, 2.874, 100
31.55, 2.835, 51
40.21, 2.243, 19
49.25, 1.850, 24
52.43, 1.745, 30
52.72, 1.736, 16
58.02, 1.590, 23

Structural model:
Lattice parameters (Å, degrees): 6.3732 7.5289 6.2125 90.00 90.00 90.00
Positions (direct):
Nd  0.0687  0.1427  0.0000
Nd  0.4313  0.1427  0.5000
Nd  0.5687  0.8573  0.0000
Nd  0.9313  0.8573  0.5000
Cd  0.1027  0.5938  0.0150
Cd  0.3973  0.5938  0.5150
Cd  0.6027  0.4062  0.0150
Cd  0.8973  0.4062  0.5150
N  0.0841  0.6277  0.6643
N  0.4159  0.6277  0.1643
N  0.5841  0.3723  0.6643
N  0.9159  0.3723  0.1643
O  0.1001  0.1036  0.6299
O  0.3999  0.1036  0.1299
O  0.6001  0.8964  0.6299
O  0.8999  0.8964  0.1299


(9)
For Dy4Ho3Ni2Te2, a crystal structure in OQMD, relaxed with GGA-PBE gives the theoretical PXRD pattern in this record (Cu Ka).
Lines closer than 0.1° are merged.

Top 10 peaks for 15 to 90 degrees two-theta, by angle:
Position (°2θ), d/Å, I/Imax
28.88, 3.092, 22
30.14, 2.965, 22
30.40, 2.941, 51
33.01, 2.714, 79
34.06, 2.632, 100
34.55, 2.596, 74
36.66, 2.451, 22
38.50, 2.338, 19
47.28, 1.923, 29
58.86, 1.569, 30

Structural model:
Lattice parameters (Å, degrees): 9.3433 9.3433 9.3433 156.25 66.82 118.57
Positions (direct):
Dy  0.1329  0.0000  0.1329
Dy  0.5010  0.1473  0.3537
Dy  0.7937  0.1473  0.6463
Dy  0.8671  0.0000  0.8671
Ho  0.1115  0.7966  0.3150
Ho  0.4171  0.4171  0.0000
Ho  0.4816  0.7966  0.6850
Ni  0.2517  0.4889  0.7627
Ni  0.7262  0.4889  0.2373
Te  0.1530  0.6530  0.5000
Te  0.7542  0.7542  0.0000


(10)
For Cd2GeO4, a crystal structure in OQMD, relaxed with GGA-PBE gives the theoretical PXRD pattern in this record (Cu Ka).
Lines closer than 0.1° are merged.

Top 10 peaks for 15 to 90 degrees two-theta, by angle:
Position (°2θ), d/Å, I/Imax
27.90, 3.198, 18
28.59, 3.122, 33
32.99, 2.715, 100
34.18, 2.623, 51
34.92, 2.569, 26
49.79, 1.831, 14
52.67, 1.738, 31
55.13, 1.666, 13
57.64, 1.599, 18
59.19, 1.561, 35

Structural model:
Lattice parameters (Å, degrees): 6.3966 6.3966 8.6281 90.00 90.00 90.00
Positions (direct):
Cd  0.0000  0.2643  0.0000
Cd  0.0000  0.7357  0.5000
Cd  0.2445  0.2445  0.3750
Cd  0.2445  0.7555  0.1250
Cd  0.2643  0.0000  0.7500
Cd  0.7357  0.0000  0.2500
Cd  0.7555  0.2445  0.6250
Cd  0.7555  0.7555  0.8750
Ge  0.2651  0.5000  0.7500
Ge  0.5000  0.2651  0.0000
Ge  0.5000  0.7349  0.5000
Ge  0.7349  0.5000  0.2500
O  0.0605  0.2870  0.7349
O  0.0605  0.7130  0.7651
O  0.2870  0.0605  0.0151
O  0.2872  0.4825  0.9737
O  0.2872  0.5175  0.5263
O  0.2870  0.9395  0.4849
O  0.4825  0.2872  0.7763
O  0.4825  0.7128  0.7237
O  0.5175  0.2872  0.2237
O  0.5175  0.7128  0.2763
O  0.7130  0.0605  0.9849
O  0.7128  0.4825  0.0263
O  0.7128  0.5175  0.4737
O  0.7130  0.9395  0.5151
O  0.9395  0.2870  0.2651
O  0.9395  0.7130  0.2349


(11)
For Ho4GaSi4Ni2, a crystal structure in OQMD, relaxed with GGA-PBE gives the theoretical PXRD pattern in this record (Cu Ka).
Lines closer than 0.1° are merged.

Top 10 peaks for 15 to 90 degrees two-theta, by angle:
Position (°2θ), d/Å, I/Imax
22.27, 3.993, 57
28.51, 3.130, 36
34.31, 2.614, 77
35.59, 2.523, 100
35.93, 2.499, 32
37.14, 2.421, 51
37.31, 2.410, 67
38.26, 2.353, 42
43.52, 2.079, 55
59.85, 1.545, 31

Structural model:
Lattice parameters (Å, degrees): 7.7931 7.7931 6.8018 107.56 107.56 30.95
Positions (direct):
Ho  0.0874  0.0874  0.3817
Ho  0.1526  0.1526  0.9401
Ho  0.8474  0.8474  0.0599
Ho  0.9126  0.9126  0.6183
Ga  0.5000  0.5000  0.0000
Si  0.2935  0.2935  0.7220
Si  0.4370  0.4370  0.3409
Si  0.5630  0.5630  0.6591
Si  0.7065  0.7065  0.2780
Ni  0.2846  0.2846  0.3568
Ni  0.7154  0.7154  0.6432


(12)
For Ba2Zn2AsPO, a crystal structure in OQMD, relaxed with GGA-PBE gives the theoretical PXRD pattern in this record (Cu Ka).
Lines closer than 0.1° are merged.

Top 10 peaks for 15 to 90 degrees two-theta, by angle:
Position (°2θ), d/Å, I/Imax
23.40, 3.801, 32
28.28, 3.156, 27
29.56, 3.022, 34
29.74, 3.005, 41
30.83, 2.900, 39
30.98, 2.887, 38
33.11, 2.705, 100
34.06, 2.632, 77
44.30, 2.045, 37
53.80, 1.704, 35

Structural model:
Lattice parameters (Å, degrees): 6.4459 6.4459 7.4803 120.59 120.59 36.99
Positions (direct):
Ba  0.0000  0.0000  0.0000
Ba  0.0948  0.0948  0.5789
Zn  0.3503  0.3503  0.1997
Zn  0.7386  0.7386  0.3610
As  0.3601  0.3601  0.5648
P  0.7383  0.7383  0.0205
O  0.5461  0.5461  0.2862